Entry 1:
# Sm3As2Se
Calculated X-ray powder pattern, Cu Kα X-rays. Input: a cell relaxed with PBE.
Neutral-atom scattering factors, no anomalous dispersion.

Principal peaks in the range 2θ from 10° to 90°, in order of rising 2θ:
2θ 25.96, I 19
2θ 30.07, I 100
2θ 43.04, I 74
2θ 50.95, I 9
2θ 53.39, I 26
2θ 62.50, I 12
2θ 70.90, I 33
2θ 78.80, I 6
2θ 78.92, I 19
2θ 84.76, I 2

Cell: 4.201 4.201 10.308 Å, 90.00 90.00 120.00°
Fractional positions:
Sm  0.000  0.000  0.000
Sm  0.333  0.667  0.677
Sm  0.667  0.333  0.323
As  0.333  0.667  0.167
As  0.667  0.333  0.833
Se  0.000  0.000  0.500

Entry 2:
# Zr2TeAs2Se
Calculated X-ray powder pattern, Cu Kα X-rays. Input: a cell relaxed with PBE.
Neutral-atom scattering factors, no anomalous dispersion.

Principal peaks in the range 2θ from 10° to 90°, in order of rising 2θ:
2θ 17.78, I 15
2θ 31.50, I 100
2θ 32.31, I 36
2θ 36.00, I 41
2θ 37.70, I 37
2θ 40.13, I 45
2θ 42.09, I 56
2θ 49.30, I 22
2θ 62.55, I 16
2θ 63.71, I 27

Cell: 7.413 7.413 7.413 Å, 151.12 137.43 52.25°
Fractional positions:
Zr  0.000  0.000  0.000
Zr  0.250  0.250  0.000
Te  0.831  0.331  0.500
As  0.383  0.623  0.759
As  0.864  0.623  0.241
Se  0.412  0.912  0.500

Entry 3:
# UAsSe
Calculated X-ray powder pattern, Cu Kα X-rays. Input: a cell relaxed with PBE.
Neutral-atom scattering factors, no anomalous dispersion.

Principal peaks in the range 2θ from 10° to 90°, in order of rising 2θ:
2θ 21.44, I 26
2θ 22.90, I 57
2θ 27.55, I 29
2θ 31.67, I 47
2θ 33.51, I 37
2θ 35.17, I 48
2θ 38.57, I 100
2θ 44.47, I 37
2θ 45.40, I 50
2θ 79.27, I 26

Cell: 8.758 8.758 8.758 Å, 153.63 153.63 37.64°
Fractional positions:
U  0.133  0.133  0.000
U  0.867  0.867  0.000
As  0.000  0.500  0.500
As  0.500  0.000  0.500
Se  0.315  0.315  0.000
Se  0.685  0.685  0.000

Entry 4:
# SmAs
Calculated X-ray powder pattern, Cu Kα X-rays. Input: a cell relaxed with PBE.
Neutral-atom scattering factors, no anomalous dispersion.

Principal peaks in the range 2θ from 10° to 90°, in order of rising 2θ:
2θ 25.92, I 19
2θ 30.01, I 100
2θ 42.96, I 75
2θ 50.86, I 9
2θ 53.30, I 26
2θ 62.38, I 12
2θ 68.72, I 4
2θ 70.76, I 34
2θ 78.73, I 25
2θ 84.56, I 3

Cell: 7.293 7.293 7.293 Å, 99.59 99.59 131.81°
Fractional positions:
Sm  0.000  0.000  0.000
Sm  0.200  0.600  0.800
Sm  0.400  0.200  0.600
Sm  0.600  0.800  0.400
Sm  0.800  0.400  0.200
As  0.100  0.300  0.400
As  0.300  0.900  0.199
As  0.500  0.500  0.000
As  0.700  0.100  0.801
As  0.900  0.700  0.600